Record 1
# Si6Bi3N11
Theoretical X-ray powder pattern, Cu Kα. Input: the PBE geometry in the Materials Project.

Crystal structure
a = 10.1817 Å, b = 10.1817 Å, c = 4.9454 Å
α = 90.00°, β = 90.00°, γ = 90.00°
Sites, in units of the cell vectors:
Si  0.0802  0.2095  0.0000
Si  0.1177  0.3823  0.5141
Si  0.2095  0.9198  0.0000
Si  0.2905  0.4198  0.0000
Si  0.3823  0.8823  0.5141
Si  0.4198  0.7095  0.0000
Si  0.5802  0.2905  0.0000
Si  0.6177  0.1177  0.5141
Si  0.7095  0.5802  0.0000
Si  0.7905  0.0802  0.0000
Si  0.8823  0.6177  0.5141
Si  0.9198  0.7905  0.0000
Bi  0.0000  0.0000  0.4474
Bi  0.1828  0.6828  0.4418
Bi  0.3172  0.1828  0.4418
Bi  0.5000  0.5000  0.4474
Bi  0.6828  0.8172  0.4418
Bi  0.8172  0.3172  0.4418
N  0.0000  0.5000  0.5137
N  0.0746  0.2323  0.6557
N  0.0778  0.8222  0.1193
N  0.1570  0.3430  0.1708
N  0.1778  0.0778  0.1193
N  0.2323  0.9254  0.6557
N  0.2677  0.4254  0.6557
N  0.3222  0.5778  0.1193
N  0.3430  0.8430  0.1708
N  0.4222  0.3222  0.1193
N  0.4254  0.7323  0.6557
N  0.5000  0.0000  0.5137
N  0.5746  0.2677  0.6557
N  0.5778  0.6778  0.1193
N  0.6570  0.1570  0.1708
N  0.6778  0.4222  0.1193
N  0.7323  0.5746  0.6557
N  0.7677  0.0746  0.6557
N  0.8222  0.9222  0.1193
N  0.8430  0.6570  0.1708
N  0.9222  0.1778  0.1193
N  0.9254  0.7677  0.6557

Peak list (10 most intense, 10 to 90 degrees two-theta, by angle)
d_spacing, two_theta, Rel. int.
4.945, 17.94, 97
3.350, 26.61, 74
3.220, 27.71, 49
2.910, 30.72, 72
2.698, 33.20, 100
2.471, 36.36, 69
2.209, 40.85, 38
1.961, 46.30, 30
1.747, 52.38, 58
1.647, 55.82, 37

---

Record 2
# CeInPd
Theoretical X-ray powder pattern, Cu Kα. Input: the PBE geometry in the Materials Project.

Crystal structure
a = 7.6767 Å, b = 7.6767 Å, c = 4.0643 Å
α = 90.00°, β = 90.00°, γ = 120.00°
Sites, in units of the cell vectors:
Ce  0.0000  0.5839  0.0000
Ce  0.4161  0.4161  0.0000
Ce  0.5839  0.0000  0.0000
In  0.0000  0.2494  0.5000
In  0.2494  0.0000  0.5000
In  0.7506  0.7506  0.5000
Pd  0.0000  0.0000  0.0000
Pd  0.3333  0.6667  0.5000
Pd  0.6667  0.3333  0.5000

Peak list (10 most intense, 10 to 90 degrees two-theta, by angle)
d_spacing, two_theta, Rel. int.
2.791, 32.07, 91
2.573, 34.87, 100
2.513, 35.73, 52
2.216, 40.71, 29
2.137, 42.29, 26
2.032, 44.59, 27
1.679, 54.66, 17
1.580, 58.40, 25
1.498, 61.96, 17
1.428, 65.35, 30

---

Record 3
# Ti2Bi2O7
Theoretical X-ray powder pattern, Cu Kα. Input: the PBE geometry in the Materials Project.

Crystal structure
a = 7.3632 Å, b = 7.3632 Å, c = 7.3632 Å
α = 60.00°, β = 60.00°, γ = 60.00°
Sites, in units of the cell vectors:
Ti  0.0000  0.0000  0.0000
Ti  0.0000  0.0000  0.5000
Ti  0.0000  0.5000  0.0000
Ti  0.5000  0.0000  0.0000
Bi  0.0000  0.5000  0.5000
Bi  0.5000  0.0000  0.5000
Bi  0.5000  0.5000  0.0000
Bi  0.5000  0.5000  0.5000
O  0.0738  0.0738  0.6762
O  0.0738  0.6762  0.0738
O  0.0738  0.6762  0.6762
O  0.3238  0.3238  0.9262
O  0.3238  0.9262  0.3238
O  0.3238  0.9262  0.9262
O  0.3750  0.3750  0.3750
O  0.6250  0.6250  0.6250
O  0.6762  0.0738  0.0738
O  0.6762  0.0738  0.6762
O  0.6762  0.6762  0.0738
O  0.9262  0.3238  0.3238
O  0.9262  0.3238  0.9262
O  0.9262  0.9262  0.3238

Peak list (10 most intense, 10 to 90 degrees two-theta, by angle)
d_spacing, two_theta, Rel. int.
6.012, 14.73, 40
3.140, 28.43, 25
3.006, 29.72, 100
2.603, 34.45, 34
2.389, 37.65, 25
2.004, 45.25, 14
1.841, 49.52, 46
1.570, 58.82, 44
1.194, 80.39, 18
1.164, 82.93, 16

---

Record 4
# CaTl6Si2O7
Theoretical X-ray powder pattern, Cu Kα. Input: the PBE geometry in the Materials Project.

Crystal structure
a = 4.8508 Å, b = 9.6167 Å, c = 9.7782 Å
α = 116.15°, β = 90.62°, γ = 91.22°
Sites, in units of the cell vectors:
Ca  0.0000  0.0000  0.0000
Tl  0.4554  0.6420  0.3599
Tl  0.5242  0.0634  0.6136
Tl  0.5346  0.6569  0.7205
Tl  0.8407  0.3787  0.1702
Tl  0.9337  0.8467  0.2432
Tl  0.9523  0.3145  0.5044
Si  0.0405  0.7706  0.5744
Si  0.4582  0.1187  0.2491
O  0.1155  0.1210  0.2492
O  0.5422  0.0301  0.0665
O  0.5613  0.0266  0.3485
O  0.5727  0.3019  0.3324
O  0.8902  0.5964  0.4809
O  0.9344  0.8927  0.5096
O  0.9837  0.8348  0.7568

Peak list (10 most intense, 10 to 90 degrees two-theta, by angle)
d_spacing, two_theta, Rel. int.
8.775, 10.08, 100
4.201, 21.15, 20
3.423, 26.03, 26
3.377, 26.39, 20
3.271, 27.27, 42
3.178, 28.08, 51
3.150, 28.33, 46
3.122, 28.60, 25
2.643, 33.91, 20
2.351, 38.29, 20

---

Record 5
# Al12Fe7
Theoretical X-ray powder pattern, Cu Kα. Input: the PBE geometry in the Materials Project.

Crystal structure
a = 4.7949 Å, b = 6.3896 Å, c = 8.7090 Å
α = 87.82°, β = 74.76°, γ = 82.88°
Sites, in units of the cell vectors:
Al  0.0084  0.4920  0.3345
Al  0.0862  0.0469  0.1993
Al  0.0984  0.6873  0.0232
Al  0.1898  0.8369  0.4675
Al  0.4586  0.3743  0.7906
Al  0.4901  0.2063  0.3274
Al  0.5099  0.7937  0.6726
Al  0.5414  0.6257  0.2094
Al  0.8102  0.1631  0.5325
Al  0.9016  0.3127  0.9768
Al  0.9138  0.9531  0.8007
Al  0.9916  0.5080  0.6655
Fe  0.2732  0.1475  0.6200
Fe  0.3345  0.0191  0.9140
Fe  0.3605  0.3438  0.0826
Fe  0.5000  0.5000  0.5000
Fe  0.6395  0.6562  0.9174
Fe  0.6655  0.9809  0.0860
Fe  0.7268  0.8525  0.3800

Peak list (10 most intense, 10 to 90 degrees two-theta, by angle)
d_spacing, two_theta, Rel. int.
4.594, 19.32, 49
2.082, 43.46, 56
2.073, 43.66, 84
2.068, 43.77, 62
2.059, 43.98, 100
2.052, 44.13, 72
2.045, 44.29, 80
2.027, 44.71, 95
2.016, 44.97, 54
1.995, 45.46, 73

---

Record 6
# NaSi
Theoretical X-ray powder pattern, Cu Kα. Input: the PBE geometry in the Materials Project.

Crystal structure
a = 6.8998 Å, b = 6.8998 Å, c = 11.0646 Å
α = 114.98°, β = 114.98°, γ = 56.96°
Sites, in units of the cell vectors:
Na  0.0368  0.2250  0.4520
Na  0.1899  0.5122  0.8582
Na  0.2250  0.0368  0.9520
Na  0.4878  0.8101  0.6418
Na  0.5122  0.1899  0.3582
Na  0.7750  0.9632  0.0480
Na  0.8101  0.4878  0.1418
Na  0.9632  0.7750  0.5480
Si  0.1458  0.7310  0.3128
Si  0.2690  0.8542  0.1872
Si  0.3640  0.4399  0.1423
Si  0.4399  0.3640  0.6423
Si  0.5601  0.6360  0.3577
Si  0.6360  0.5601  0.8577
Si  0.7310  0.1458  0.8128
Si  0.8542  0.2690  0.6872

Peak list (10 most intense, 10 to 90 degrees two-theta, by angle)
d_spacing, two_theta, Rel. int.
5.485, 16.16, 51
5.319, 16.67, 44
3.169, 28.16, 57
2.890, 30.94, 72
2.742, 32.65, 54
2.660, 33.69, 100
2.524, 35.57, 56
2.493, 36.02, 63
2.236, 40.33, 53
2.195, 41.12, 66

---

Record 7
# Ca3AlAs3
Theoretical X-ray powder pattern, Cu Kα. Input: the PBE geometry in the Materials Project.

Crystal structure
a = 12.3056 Å, b = 4.2192 Å, c = 13.4855 Å
α = 90.00°, β = 90.00°, γ = 90.00°
Sites, in units of the cell vectors:
Ca  0.0660  0.2500  0.1073
Ca  0.1475  0.7500  0.5008
Ca  0.2279  0.7500  0.7874
Ca  0.2721  0.2500  0.2874
Ca  0.3525  0.2500  0.0008
Ca  0.4340  0.7500  0.6073
Ca  0.5660  0.2500  0.3927
Ca  0.6475  0.7500  0.9992
Ca  0.7279  0.7500  0.7126
Ca  0.7721  0.2500  0.2126
Ca  0.8525  0.2500  0.4992
Ca  0.9340  0.7500  0.8927
Al  0.0608  0.2500  0.7024
Al  0.4392  0.7500  0.2024
Al  0.5608  0.2500  0.7976
Al  0.9392  0.7500  0.2976
As  0.0414  0.2500  0.3513
As  0.1038  0.2500  0.8855
As  0.2473  0.2500  0.6245
As  0.2527  0.7500  0.1245
As  0.3962  0.7500  0.3855
As  0.4586  0.7500  0.8513
As  0.5414  0.2500  0.1487
As  0.6038  0.2500  0.6145
As  0.7473  0.2500  0.8755
As  0.7527  0.7500  0.3755
As  0.8962  0.7500  0.1145
As  0.9586  0.7500  0.6487

Peak list (10 most intense, 10 to 90 degrees two-theta, by angle)
d_spacing, two_theta, Rel. int.
3.504, 25.42, 67
3.480, 25.60, 52
3.435, 25.94, 44
3.371, 26.44, 79
2.984, 29.94, 63
2.874, 31.12, 75
2.752, 32.54, 72
2.486, 36.13, 74
2.421, 37.13, 100
2.110, 42.87, 73

---

Record 8
# Al2O3
Theoretical X-ray powder pattern, Cu Kα. Input: the PBE geometry in the Materials Project.

Crystal structure
a = 2.9646 Å, b = 5.6364 Å, c = 28.6594 Å
α = 92.41°, β = 92.96°, γ = 90.22°
Sites, in units of the cell vectors:
Al  0.0000  0.0000  0.0000
Al  0.0351  0.5091  0.0716
Al  0.0863  0.2948  0.1743
Al  0.1498  0.8011  0.3013
Al  0.1995  0.5842  0.4020
Al  0.2361  0.1132  0.4749
Al  0.2972  0.5735  0.5980
Al  0.3598  0.2905  0.6925
Al  0.4307  0.7280  0.8616
Al  0.4846  0.5172  0.9713
Al  0.5498  0.0045  0.1002
Al  0.6001  0.7830  0.2014
Al  0.6360  0.3059  0.2738
Al  0.6857  0.0972  0.3749
Al  0.7495  0.6231  0.5024
Al  0.8413  0.8176  0.6834
Al  0.8877  0.4700  0.7810
Al  0.9504  0.2250  0.8987
O  0.0476  0.7967  0.0971
O  0.0513  0.2444  0.1034
O  0.1162  0.8042  0.2334
O  0.1180  0.2884  0.2382
O  0.1824  0.8483  0.3671
O  0.1835  0.3045  0.3691
O  0.2504  0.3948  0.5048
O  0.2500  0.8399  0.5020
O  0.3132  0.3426  0.6358
O  0.3254  0.8036  0.6518
O  0.3943  0.3375  0.7959
O  0.4445  0.0253  0.8880
O  0.4496  0.4670  0.8996
O  0.5161  0.0160  0.0320
O  0.5169  0.4955  0.0356
O  0.5823  0.0462  0.1656
O  0.5846  0.5023  0.1696
O  0.6479  0.5939  0.2989
O  0.6514  0.0387  0.3047
O  0.7155  0.5985  0.4342
O  0.7180  0.1014  0.4388
O  0.7840  0.6407  0.5707
O  0.8434  0.5651  0.7222
O  0.8640  0.1148  0.7099
O  0.9140  0.7120  0.8285
O  0.9820  0.2604  0.9632
O  0.9840  0.7205  0.9682

Peak list (10 most intense, 10 to 90 degrees two-theta, by angle)
d_spacing, two_theta, Rel. int.
5.481, 16.17, 72
2.860, 31.28, 88
2.818, 31.75, 76
2.741, 32.67, 67
2.487, 36.12, 76
2.480, 36.22, 69
2.323, 38.76, 70
2.273, 39.65, 100
1.482, 62.68, 80
1.398, 66.91, 45